The following is a simulated powder diffraction line list of Ce5Cd3In3. It was derived from a cell relaxed with GGA-PBE, using Cu Kα X-rays.

Largest 8 diffraction maxima, in order of falling intensity, 2θ = 10–90°:
- 29.42 deg, I = 100, (3 0 0)
- 32.70 deg, I = 91, (1 1 1)
- 44.56 deg, I = 67, (2 2 1)
- 35.54 deg, I = 60, (3 1 0)
- 38.35 deg, I = 57, (2 1 1)
- 61.07 deg, I = 35, (6 0 0)
- 52.22 deg, I = 30, (3 3 0)
- 34.12 deg, I = 30, (2 2 0)

Atomic structure:
```
data_Ce5Cd3In3
_chemical_formula_sum 'Ce5 Cd3 In3'
_cell_length_a 10.5177
_cell_length_b 10.5177
_cell_length_c 3.2079
_cell_angle_alpha 90.00
_cell_angle_beta 90.00
_cell_angle_gamma 120.00
_space_group_name_H-M_alt 'P -6 2 m'
_space_group_IT_number 189
_space_group_name_Hall 'P -6 -2'
loop_
_atom_site_label
_atom_site_fract_x
_atom_site_fract_y
_atom_site_fract_z
_atom_site_occupancy
Ce1 0.0000 0.6474 0.0000 1
Ce2 0.3333 0.6667 0.0000 1
Cd1 0.0000 0.1548 0.0000 1
In1 0.0000 0.3855 0.5000 1
```